1.
# Ba3ClO2
Simulated X-ray diffraction stick pattern, Cu Kα (λ = 1.5418 Å). Input: a GGA-PBE-relaxed structure.
No peak broadening, texture or thermal motion is included.

The 10 most intense peaks (2θ = 10–90°), in order of falling intensity:
h k l, Position (°2θ), intensity
1 1 0, 23.63, 100.0
1 0 -1, 13.09, 61.8
2 0 1, 24.97, 60.8
0 1 3, 29.72, 59.7
1 0 3, 25.14, 41.7
2 0 -2, 26.35, 36.4
0 2 0, 41.72, 27.7
1 1 -3, 31.32, 27.4
3 1 1, 42.37, 27.3
0 0 3, 21.27, 26.6

Structural model:
```
data_Ba3ClO2
_space_group_name_H-M_alt 'P 1 21/m 1'
_space_group_IT_number 11
_cell_length_a 7.6486
_cell_length_b 4.3299
_cell_length_c 12.5745
_cell_angle_alpha 90.00
_cell_angle_beta 94.71
_cell_angle_gamma 90.00
loop_
_space_group_symop_operation_xyz
'x,y,z'
'-x,-y,-z'
'-x,y+1/2,-z'
'x,-y+1/2,z'
loop_
_atom_site_label
_atom_site_type_symbol
_atom_site_fract_x
_atom_site_fract_y
_atom_site_fract_z
Ba1 Ba 0.1041 0.2500 0.3949
Ba2 Ba 0.3066 0.2500 0.0405
Ba3 Ba 0.3532 0.2500 0.7168
Cl1 Cl 0.1004 0.7500 0.8549
O1 O 0.0715 0.2500 0.5954
O2 O 0.4727 0.7500 0.1027
```

=====

2.
# ScZn2W
Simulated X-ray diffraction stick pattern, Cu Kα (λ = 1.5418 Å). Input: a GGA-PBE-relaxed structure.
No peak broadening, texture or thermal motion is included.

The 10 most intense peaks (2θ = 10–90°), in order of falling intensity:
h k l, Position (°2θ), intensity
0 2 1, 38.76, 100.0
2 2 0, 39.04, 97.9
1 1 0, 19.24, 76.6
2 0 1, 45.05, 64.8
4 0 0, 66.01, 50.0
1 1 1, 36.96, 31.3
0 4 0, 45.58, 31.3
2 2 2, 78.69, 25.9
4 2 1, 79.25, 23.5
1 3 0, 37.43, 15.1

Structural model:
```
data_ScZn2W
_space_group_name_H-M_alt 'C m m m'
_space_group_IT_number 65
_space_group_name_Hall '-C 2 2'
_cell_length_a 5.6619
_cell_length_b 7.9611
_cell_length_c 2.8616
_cell_angle_alpha 90.00
_cell_angle_beta 90.00
_cell_angle_gamma 90.00
loop_
_atom_site_label
_atom_site_type_symbol
_atom_site_fract_x
_atom_site_fract_y
_atom_site_fract_z
Sc1 Sc 0.0000 0.0000 0.0000
Zn1 Zn 0.2500 0.2500 0.5000
W1 W 0.0000 0.5000 0.0000
```